1.
The following is a simulated X-ray powder pattern of La4NpSb5. It was derived from DFT lattice parameters and positions (GGA-PBE), using Cu Kα.
Peak positions follow from Bragg's law for the DFT cell and can differ from measured ones.

Atomic structure:
Cell: 16.518 16.518 16.518 Å, 164.03 164.03 22.65°
Fractional positions:
La 0.100 0.100 0.000
La 0.301 0.301 0.000
La 0.699 0.699 0.000
La 0.900 0.900 0.000
Np 0.500 0.500 0.000
Sb 0.000 0.000 0.000
Sb 0.200 0.200 0.000
Sb 0.403 0.403 0.000
Sb 0.597 0.597 0.000
Sb 0.800 0.800 0.000

Main lines, in order of falling intensity (2θ from 5° to 70°):
| d (Å) | 2theta | Rel. int. |
| --- | --- | --- |
| 3.243 | 27.51 | 100.0 |
| 2.293 | 39.29 | 77.1 |
| 1.872 | 48.63 | 27.9 |
| 1.451 | 64.20 | 24.1 |
| 1.621 | 56.78 | 13.0 |
| 1.449 | 64.28 | 11.7 |
| 16.197 | 5.46 | 6.0 |
| 3.744 | 23.76 | 2.9 |
| 1.955 | 46.44 | 1.7 |
| 4.543 | 19.54 | 1.4 |



2.
The following is a simulated X-ray powder pattern of Ti6Ge5. It was derived from DFT lattice parameters and positions (GGA-PBE), using Cu Kα.
Peak positions follow from Bragg's law for the DFT cell and can differ from measured ones.

Atomic structure:
Cell: 9.734 9.734 9.734 Å, 131.70 58.61 148.83°
Fractional positions:
Ti 0.059 0.250 0.809
Ti 0.063 0.242 0.306
Ti 0.141 0.612 0.753
Ti 0.359 0.112 0.471
Ti 0.437 0.742 0.179
Ti 0.441 0.250 0.191
Ti 0.559 0.750 0.809
Ti 0.563 0.258 0.821
Ti 0.641 0.888 0.529
Ti 0.859 0.388 0.247
Ti 0.937 0.758 0.694
Ti 0.941 0.750 0.191
Ge 0.068 0.902 0.970
Ge 0.211 0.300 0.511
Ge 0.250 0.750 0.500
Ge 0.289 0.800 0.089
Ge 0.432 0.402 0.834
Ge 0.568 0.598 0.166
Ge 0.711 0.200 0.911
Ge 0.750 0.250 0.500
Ge 0.789 0.700 0.489
Ge 0.932 0.098 0.030

Main lines, in order of falling intensity (2θ from 5° to 70°):
| d (Å) | 2theta | Rel. int. |
| --- | --- | --- |
| 2.278 | 39.56 | 100.0 |
| 2.318 | 38.85 | 55.9 |
| 2.404 | 37.41 | 30.8 |
| 2.376 | 37.87 | 28.9 |
| 2.186 | 41.30 | 26.0 |
| 2.616 | 34.28 | 22.3 |
| 1.921 | 47.33 | 14.1 |
| 1.436 | 64.91 | 10.8 |
| 1.768 | 51.71 | 10.6 |
| 1.944 | 46.74 | 10.4 |



3.
The following is a simulated X-ray powder pattern of LiPmMgTe3. It was derived from DFT lattice parameters and positions (GGA-PBE), using Cu Kα.
Peak positions follow from Bragg's law for the DFT cell and can differ from measured ones.

Atomic structure:
Cell: 8.643 4.284 9.486 Å, 90.00 104.36 90.00°
Fractional positions:
Li 0.090 0.250 0.091
Li 0.910 0.750 0.909
Pm 0.193 0.250 0.740
Pm 0.807 0.750 0.260
Mg 0.332 0.750 0.335
Mg 0.668 0.250 0.665
Te 0.093 0.250 0.375
Te 0.243 0.750 0.006
Te 0.425 0.750 0.651
Te 0.575 0.250 0.349
Te 0.757 0.250 0.994
Te 0.907 0.750 0.625

Main lines, in order of falling intensity (2θ from 5° to 70°):
| d (Å) | 2theta | Rel. int. |
| --- | --- | --- |
| 3.008 | 29.70 | 100.0 |
| 2.994 | 29.84 | 71.2 |
| 3.063 | 29.15 | 51.7 |
| 2.160 | 41.81 | 49.3 |
| 3.135 | 28.47 | 40.4 |
| 2.142 | 42.19 | 39.0 |
| 3.113 | 28.68 | 38.8 |
| 2.785 | 32.13 | 35.9 |
| 3.390 | 26.29 | 33.1 |
| 7.132 | 12.41 | 27.7 |



4.
The following is a simulated X-ray powder pattern of Ac2TlSe2O2. It was derived from DFT lattice parameters and positions (GGA-PBE), using Cu Kα.
Peak positions follow from Bragg's law for the DFT cell and can differ from measured ones.

Atomic structure:
Cell: 4.324 4.324 12.527 Å, 90.00 90.00 120.00°
Fractional positions:
Ac 0.333 0.667 0.125
Ac 0.667 0.333 0.875
Tl 0.000 0.000 0.500
Se 0.000 0.000 0.286
Se 0.000 0.000 0.714
O 0.333 0.667 0.927
O 0.667 0.333 0.073

Main lines, in order of falling intensity (2θ from 5° to 70°):
| d (Å) | 2theta | Rel. int. |
| --- | --- | --- |
| 3.588 | 24.82 | 100.0 |
| 3.214 | 27.76 | 42.4 |
| 2.402 | 37.43 | 41.3 |
| 2.162 | 41.78 | 38.4 |
| 1.637 | 56.20 | 21.3 |
| 4.176 | 21.28 | 16.7 |
| 1.852 | 49.20 | 16.1 |
| 2.788 | 32.11 | 13.7 |
| 12.527 | 7.06 | 13.3 |
| 1.406 | 66.48 | 13.3 |



5.
The following is a simulated X-ray powder pattern of LiSi3. It was derived from DFT lattice parameters and positions (GGA-PBE), using Cu Kα.
Peak positions follow from Bragg's law for the DFT cell and can differ from measured ones.

Atomic structure:
Cell: 2.614 2.614 8.366 Å, 90.00 90.00 90.00°
Fractional positions:
Li 0.000 0.000 0.000
Si 0.000 0.000 0.500
Si 0.500 0.500 0.247
Si 0.500 0.500 0.753

Main lines, in order of falling intensity (2θ from 5° to 70°):
| d (Å) | 2theta | Rel. int. |
| --- | --- | --- |
| 2.217 | 40.71 | 100.0 |
| 8.366 | 10.57 | 49.2 |
| 1.848 | 49.31 | 28.0 |
| 1.385 | 67.65 | 21.6 |
| 2.092 | 43.26 | 20.8 |
| 2.495 | 36.00 | 10.6 |
| 4.183 | 21.24 | 10.5 |
| 2.614 | 34.31 | 5.6 |
| 2.789 | 32.09 | 4.5 |
| 1.805 | 50.58 | 3.1 |



6.
The following is a simulated X-ray powder pattern of Dy7Y3Er. It was derived from DFT lattice parameters and positions (GGA-PBE), using Cu Kα.
Peak positions follow from Bragg's law for the DFT cell and can differ from measured ones.

Atomic structure:
Cell: 6.998 5.520 9.861 Å, 90.00 110.31 90.00°
Fractional positions:
Dy 0.000 0.000 0.000
Dy 0.147 0.500 0.293
Dy 0.322 0.500 0.641
Dy 0.418 0.000 0.830
Dy 0.582 0.000 0.170
Dy 0.678 0.500 0.359
Dy 0.853 0.500 0.707
Y 0.000 0.000 0.500
Y 0.279 0.500 0.998
Y 0.721 0.500 0.002
Er 0.500 0.000 0.500

Main lines, in order of falling intensity (2θ from 5° to 70°):
| d (Å) | 2theta | Rel. int. |
| --- | --- | --- |
| 2.807 | 31.88 | 100.0 |
| 2.821 | 31.72 | 75.8 |
| 2.760 | 32.44 | 56.1 |
| 2.691 | 33.29 | 53.1 |
| 1.604 | 57.45 | 23.2 |
| 3.499 | 25.46 | 20.5 |
| 3.547 | 25.10 | 19.9 |
| 1.478 | 62.90 | 15.9 |
| 2.779 | 32.21 | 14.3 |
| 1.749 | 52.30 | 13.7 |



7.
The following is a simulated X-ray powder pattern of SrPuSbO6. It was derived from DFT lattice parameters and positions (GGA-PBE), using Cu Kα.
Peak positions follow from Bragg's law for the DFT cell and can differ from measured ones.

Atomic structure:
Cell: 5.586 5.586 10.666 Å, 90.00 90.00 120.00°
Fractional positions:
Sr 0.000 0.000 0.000
Sr 0.000 0.000 0.500
Pu 0.333 0.667 0.250
Pu 0.667 0.333 0.750
Sb 0.333 0.667 0.750
Sb 0.667 0.333 0.250
O 0.017 0.378 0.645
O 0.017 0.639 0.855
O 0.361 0.378 0.855
O 0.361 0.983 0.645
O 0.378 0.017 0.145
O 0.378 0.361 0.355
O 0.622 0.639 0.645
O 0.622 0.983 0.855
O 0.639 0.017 0.355
O 0.639 0.622 0.145
O 0.983 0.361 0.145
O 0.983 0.622 0.355

Main lines, in order of falling intensity (2θ from 5° to 70°):
| d (Å) | 2theta | Rel. int. |
| --- | --- | --- |
| 3.583 | 24.85 | 100.0 |
| 1.929 | 47.12 | 57.8 |
| 2.793 | 32.05 | 56.3 |
| 5.333 | 16.62 | 50.5 |
| 2.474 | 36.31 | 36.8 |
| 1.730 | 52.94 | 25.0 |
| 2.203 | 40.97 | 24.9 |
| 1.613 | 57.12 | 18.4 |
| 4.406 | 20.16 | 18.0 |
| 4.838 | 18.34 | 14.5 |



8.
The following is a simulated X-ray powder pattern of Tm5CdHg2. It was derived from DFT lattice parameters and positions (GGA-PBE), using Cu Kα.
Peak positions follow from Bragg's law for the DFT cell and can differ from measured ones.

Atomic structure:
Cell: 5.888 5.888 16.787 Å, 90.00 90.00 132.97°
Fractional positions:
Tm 0.027 0.973 0.750
Tm 0.151 0.849 0.537
Tm 0.151 0.849 0.963
Tm 0.457 0.543 0.599
Tm 0.457 0.543 0.901
Tm 0.543 0.457 0.099
Tm 0.543 0.457 0.401
Tm 0.849 0.151 0.037
Tm 0.849 0.151 0.463
Tm 0.973 0.027 0.250
Cd 0.312 0.688 0.750
Cd 0.688 0.312 0.250
Hg 0.260 0.740 0.145
Hg 0.260 0.740 0.355
Hg 0.740 0.260 0.645
Hg 0.740 0.260 0.855

Main lines, in order of falling intensity (2θ from 5° to 70°):
| d (Å) | 2theta | Rel. int. |
| --- | --- | --- |
| 2.648 | 33.85 | 100.0 |
| 2.704 | 33.12 | 76.8 |
| 3.006 | 29.72 | 61.5 |
| 2.349 | 38.31 | 57.0 |
| 2.817 | 31.77 | 50.2 |
| 2.431 | 36.97 | 29.4 |
| 2.545 | 35.27 | 25.7 |
| 2.484 | 36.16 | 25.4 |
| 1.690 | 54.30 | 19.4 |
| 1.519 | 61.01 | 17.5 |